Computed X-ray powder pattern of MgCd2Ag2Hg for Cu Ka, from a cell relaxed with PBE.

Crystal structure
```
data_MgCd2Ag2Hg
_cell_length_a 4.3732
_cell_length_b 8.9594
_cell_length_c 6.1590
_cell_angle_alpha 90.00
_cell_angle_beta 90.00
_cell_angle_gamma 90.00
_space_group_name_H-M_alt 'P m c 21'
_space_group_IT_number 26
loop_
_space_group_symop_operation_xyz
'x,y,z'
'-x,-y,z+1/2'
'-x,y,z'
'x,-y,z+1/2'
loop_
_atom_site_label
_atom_site_fract_x
_atom_site_fract_y
_atom_site_fract_z
Mg1 0.0000 0.1594 0.0000
Cd1 0.0000 0.4988 0.4753
Cd2 0.5000 0.3289 0.7299
Ag1 0.0000 0.1733 0.4880
Ag2 0.5000 0.3340 0.2226
Hg1 0.5000 0.0042 0.2489
```

Most intense lines, 5 to 70 degrees two-theta, by angle:
h k l	2theta	d (Å)	I_rel
0 1 1	17.47	5.075	7
0 2 0	19.82	4.480	7
1 0 0	20.31	4.373	13
1 1 0	22.63	3.930	13
1 1 1	26.91	3.313	6
1 0 2	35.66	2.518	100
1 3 0	36.43	2.466	95
2 0 0	41.29	2.187	34
0 3 2	42.15	2.144	62
0 0 4	60.09	1.540	10
2 3 2	60.48	1.531	41
0 6 0	62.17	1.493	9

Computed X-ray powder pattern of Mg3Cd2Ag3Hg for Cu Ka, from a cell relaxed with PBE.

Crystal structure
```
data_Mg3Cd2Ag3Hg
_cell_length_a 8.1433
_cell_length_b 8.1433
_cell_length_c 3.1141
_cell_angle_alpha 90.00
_cell_angle_beta 90.00
_cell_angle_gamma 120.00
_space_group_name_H-M_alt 'P -6 2 m'
_space_group_IT_number 189
_space_group_name_Hall 'P -6 -2'
loop_
_atom_site_label
_atom_site_fract_x
_atom_site_fract_y
_atom_site_fract_z
Mg1 0.0000 0.7026 0.0000
Cd1 0.3333 0.6667 0.0000
Ag1 0.0000 0.3705 0.5000
Hg1 0.0000 0.0000 0.5000
```

Most intense lines, 5 to 70 degrees two-theta, by angle:
h k l	2theta	d (Å)	I_rel
1 1 0	21.83	4.072	68
2 0 0	25.26	3.526	14
1 0 1	31.40	2.849	39
1 1 1	36.32	2.474	53
3 0 0	38.29	2.351	100
2 0 1	38.57	2.334	60
2 2 0	44.50	2.036	12
2 1 1	44.75	2.025	48
2 2 1	53.80	1.704	11
3 1 1	55.48	1.656	12
3 2 1	64.95	1.436	32
3 3 0	69.22	1.357	12

Computed X-ray powder pattern of Rb2Cd6AgHg for Cu Ka, from a cell relaxed with PBE.

Crystal structure
```
data_Rb2Cd6AgHg
_cell_length_a 7.8193
_cell_length_b 7.8321
_cell_length_c 11.0612
_cell_angle_alpha 90.00
_cell_angle_beta 90.00
_cell_angle_gamma 90.00
_space_group_name_H-M_alt 'I m m m'
_space_group_IT_number 71
_space_group_name_Hall '-I 2 2'
loop_
_atom_site_label
_atom_site_fract_x
_atom_site_fract_y
_atom_site_fract_z
Rb1 0.0000 0.0000 0.2499
Cd1 0.0000 0.5000 0.2454
Cd2 0.2454 0.2547 0.0000
Ag1 0.0000 0.5000 0.0000
Hg1 0.0000 0.5000 0.5000
```

Most intense lines, 5 to 70 degrees two-theta, by angle:
h k l	2theta	d (Å)	I_rel
1 1 0	16.02	5.533	53
2 0 0	22.73	3.912	23
2 0 2	27.93	3.194	43
2 2 0	32.36	2.766	100
3 1 0	36.31	2.474	29
3 1 2	39.91	2.259	11
4 0 0	46.42	1.956	72
3 3 0	49.42	1.844	15
4 2 2	55.05	1.668	18
4 0 4	57.72	1.597	24
5 1 2	62.85	1.479	6
4 4 0	67.75	1.383	11